This entry pairs a crystal structure of Ca3BeP2Pt9 with its simulated powder XRD pattern. Radiation: CuKα. Structure: a structure optimized by DFT (PBE).
Intensities are scaled so that the largest is 100.

Peak list (12 most intense, 2θ from 10° to 80°, by angle)
two_theta  I_rel  h k l
19.93  42  1 0 1
25.26  21  0 1 2
26.77  69  0 0 3
37.24  100  0 2 1
40.49  93  2 0 2
41.51  16  1 1 3
51.87  40  0 2 4
59.31  22  2 0 5
64.90  23  2 2 0
71.52  25  2 2 3
77.27  11  4 0 1
79.36  13  0 4 2

Structure:
```
Ca3BeP2Pt9
1.0
5.7468 0.0000 0.0000
-2.8734 4.9769 0.0000
0.0000 0.0000 9.9911
Ca Be P Pt
3 1 2 9
direct
0.0000 0.0000 0.0000
0.3333 0.6667 0.5836
0.6667 0.3333 0.4164
0.0000 0.0000 0.5000
0.3333 0.6667 0.1667
0.6667 0.3333 0.8333
0.0000 0.5000 0.0000
0.1570 0.3139 0.3159
0.1570 0.8430 0.3159
0.3139 0.1570 0.6841
0.5000 0.0000 0.0000
0.5000 0.5000 0.0000
0.6861 0.8430 0.3159
0.8430 0.1570 0.6841
0.8430 0.6861 0.6841
```